(1)
Starting from the PBE geometry in Alexandria, the X-ray powder pattern of Co4Os5 was simulated for Cu Kα, 1.54184 Å.
Kinematic intensities with the Lorentz-polarization factor, no thermal factor.

```
9
Lattice="-3.920 3.920 1.874 3.920 -3.920 1.874 3.920 3.920 -1.874" Properties=species:S:1:pos:R:3 pbc="T T T"
Co 2.597 0.000 0.000
Co 5.242 0.000 0.000
Co 0.000 2.597 0.000
Co 0.000 5.242 0.000
Os 0.000 0.000 0.000
Os 2.591 2.591 0.000
Os 1.329 -1.329 1.874
Os -1.329 1.329 1.874
Os 1.329 1.329 1.874
```

Main lines, low angle first (10° ≤ 2θ ≤ 90°):
15.99°, rel. 22.2; 22.69°, rel. 3.9; 32.30°, rel. 5.2; 35.05°, rel. 15.2; 42.16°, rel. 100.0; 48.60°, rel. 16.6; 49.32°, rel. 31.6; 54.09°, rel. 3.8; 71.75°, rel. 20.5; 72.32°, rel. 10.0; 86.33°, rel. 12.8; 87.42°, rel. 24.8

(2)
Starting from the PBE geometry in Alexandria, the X-ray powder pattern of CoOs3 was simulated for Cu Kα, 1.54184 Å.
Kinematic intensities with the Lorentz-polarization factor, no thermal factor.

```
4
Lattice="2.722 0.000 0.000 0.000 4.240 0.000 0.000 0.000 4.673" Properties=species:S:1:pos:R:3 pbc="T T T"
Co 0.000 0.000 0.000
Os 0.000 2.120 1.516
Os 1.361 0.000 2.373
Os 1.361 2.120 3.962
```

Main lines, low angle first (10° ≤ 2θ ≤ 90°):
28.42°, rel. 12.3; 38.26°, rel. 28.3; 38.53°, rel. 12.6; 42.65°, rel. 36.5; 44.02°, rel. 100.0; 44.26°, rel. 50.3; 58.62°, rel. 16.6; 69.01°, rel. 11.7; 69.53°, rel. 17.8; 79.04°, rel. 18.2; 85.11°, rel. 19.7; 85.72°, rel. 15.4

(3)
Starting from the PBE geometry in Alexandria, the X-ray powder pattern of CoOs5 was simulated for Cu Kα, 1.54184 Å.
Kinematic intensities with the Lorentz-polarization factor, no thermal factor.

```
6
Lattice="4.896 -1.372 0.000 4.896 1.372 0.000 -1.496 0.000 6.161" Properties=species:S:1:pos:R:3 pbc="T T T"
Co 0.000 0.000 0.000
Os -0.372 0.000 3.779
Os 2.281 0.000 4.121
Os 3.401 0.000 1.667
Os 6.025 0.000 2.045
Os 5.654 0.000 5.809
```

Main lines, low angle first (10° ≤ 2θ ≤ 90°):
37.98°, rel. 24.3; 38.38°, rel. 13.0; 42.16°, rel. 36.0; 43.65°, rel. 100.0; 43.91°, rel. 24.7; 44.10°, rel. 23.2; 58.13°, rel. 10.9; 69.14°, rel. 16.7; 78.19°, rel. 13.6; 83.67°, rel. 10.2; 84.22°, rel. 10.0; 84.61°, rel. 9.8